No. 1
Theoretical powder XRD pattern of Sm2AlGaI2 for λ = 1.5418 Å (Cu Kα), from the PBE geometry in OQMD.
Peak positions follow from Bragg's law for the DFT cell and can differ from measured ones.

Principal peaks in the range 10 to 90 degrees two-theta, sorted by position:
Position (°2θ)  I (rel.)
14.2  19
25.1  51
28.0  39
32.3  100
37.6  13
42.2  45
43.7  16
54.2  23
62.2  26
71.0  20

Cell and atoms:
a b c (Å): 4.281 4.281 12.505
angles (deg): 90.00 90.00 120.00
Sites, in units of the cell vectors:
Sm: 0.000 0.000 0.000
Sm: 0.000 0.000 0.335
Al: 0.333 0.667 0.183
Ga: 0.667 0.333 0.147
I: 0.333 0.667 0.838
I: 0.667 0.333 0.496

No. 2
Theoretical powder XRD pattern of Li2ZnCu2SnAu2 for λ = 1.5418 Å (Cu Kα), from the PBE geometry in OQMD.
Peak positions follow from Bragg's law for the DFT cell and can differ from measured ones.

Principal peaks in the range 10 to 90 degrees two-theta, sorted by position:
Position (°2θ)  I (rel.)
24.6  68
27.5  13
29.0  26
40.4  100
41.5  50
46.9  11
48.8  23
60.1  16
72.7  14
74.9  32

Cell and atoms:
a b c (Å): 4.355 4.355 6.489
angles (deg): 90.00 90.00 90.00
Sites, in units of the cell vectors:
Li: 0.000 0.000 0.000
Li: 0.500 0.500 0.500
Zn: 0.000 0.000 0.500
Cu: 0.000 0.500 0.726
Cu: 0.500 0.000 0.274
Sn: 0.500 0.500 0.000
Au: 0.000 0.500 0.274
Au: 0.500 0.000 0.726

No. 3
Theoretical powder XRD pattern of In2Ni9 for λ = 1.5418 Å (Cu Kα), from the PBE geometry in OQMD.
Peak positions follow from Bragg's law for the DFT cell and can differ from measured ones.

Principal peaks in the range 10 to 90 degrees two-theta, sorted by position:
Position (°2θ)  I (rel.)
10.5  21
13.1  19
41.2  39
42.2  100
45.6  20
49.2  39
51.0  39
70.4  26
76.7  13
88.0  17

Cell and atoms:
a b c (Å): 2.675 2.675 33.844
angles (deg): 90.00 90.00 120.00
Sites, in units of the cell vectors:
In: 0.333 0.667 0.294
In: 0.667 0.333 0.706
Ni: 0.000 0.000 0.000
Ni: 0.000 0.000 0.169
Ni: 0.000 0.000 0.831
Ni: 0.333 0.667 0.113
Ni: 0.333 0.667 0.774
Ni: 0.333 0.667 0.944
Ni: 0.667 0.333 0.056
Ni: 0.667 0.333 0.226
Ni: 0.667 0.333 0.887

- Number 3 is which compound?
  In2Ni9